Calculated X-ray diffraction stick pattern
Compound: ScNbP2SO12
Radiation: Cu Ka
Structure: a cell relaxed with PBE
Peak positions follow from Bragg's law for the DFT cell and can differ from measured ones.

Crystal structure
```
ScNbP2SO12
1.0
7.666 -4.416 0.000
7.666 4.416 0.000
-5.189 0.000 7.599
Sc Nb P S O
2 2 4 2 24
Direct
0.248 0.752 0.500 Sc
0.752 0.248 0.000 Sc
0.471 0.951 0.138 Nb
0.951 0.471 0.638 Nb
0.070 0.857 0.814 P
0.567 0.640 0.314 P
0.640 0.567 0.814 P
0.857 0.070 0.314 P
0.145 0.355 0.316 S
0.355 0.145 0.816 S
0.019 0.901 0.348 O
0.046 0.676 0.784 O
0.101 0.828 0.654 O
0.119 0.376 0.474 O
0.177 0.514 0.342 O
0.186 0.314 0.790 O
0.247 0.881 0.981 O
0.314 0.186 0.290 O
0.330 0.986 0.659 O
0.376 0.119 0.974 O
0.399 0.681 0.348 O
0.478 0.601 0.654 O
0.514 0.177 0.842 O
0.545 0.817 0.289 O
0.601 0.478 0.154 O
0.611 0.745 0.982 O
0.676 0.046 0.284 O
0.681 0.399 0.848 O
0.745 0.611 0.482 O
0.817 0.545 0.789 O
0.828 0.101 0.154 O
0.881 0.247 0.481 O
0.901 0.019 0.848 O
0.986 0.330 0.159 O
```

Main lines, low angle first (10 to 90 degrees two-theta):
d [Å], 2theta, I_rel
6.356, 13.93, 100
4.596, 19.31, 34
4.560, 19.47, 65
4.421, 20.08, 49
3.838, 23.18, 44
3.813, 23.33, 93
3.184, 28.02, 48
3.165, 28.19, 24
2.895, 30.89, 21
2.879, 31.06, 27
2.869, 31.17, 33
2.552, 35.16, 27